1.
Simulated XRD peak list
Compound: LaMg6Sn
Radiation: CuKα
Structure: DFT lattice parameters and positions (GGA-PBE)

Cell: 5.142 6.799 6.799 Å, 59.82 90.00 90.00°
Sites, in units of the cell vectors:
1 La 0.000 0.000 0.000
2 Mg 0.000 0.491 0.491
3 Mg 0.000 0.500 0.998
4 Mg 0.000 0.998 0.500
5 Mg 0.500 0.170 0.640
6 Mg 0.500 0.640 0.170
7 Mg 0.500 0.660 0.660
8 Sn 0.500 0.165 0.165

The 12 most intense peaks (2θ = 10–80°), by intensity:
2θ (°), d [Å], I_rel
35.15, 2.553, 100.0
15.07, 5.880, 72.6
22.96, 3.873, 43.4
31.55, 2.836, 29.7
30.39, 2.941, 24.8
34.90, 2.571, 22.8
65.89, 1.418, 18.3
62.74, 1.481, 18.3
38.20, 2.356, 15.3
46.94, 1.936, 14.7
53.94, 1.700, 12.6
26.28, 3.391, 12.1

=====

2.
Simulated XRD peak list
Compound: LaMg6Sn
Radiation: CuKα
Structure: DFT lattice parameters and positions (GGA-PBE)

Cell: 5.254 6.810 6.810 Å, 57.30 90.00 90.00°
Sites, in units of the cell vectors:
1 La 0.000 0.000 0.000
2 Mg 0.000 0.000 0.496
3 Mg 0.000 0.496 0.000
4 Mg 0.500 0.161 0.653
5 Mg 0.500 0.168 0.168
6 Mg 0.500 0.653 0.161
7 Mg 0.500 0.664 0.664
8 Sn 0.000 0.495 0.495

The 12 most intense peaks (2θ = 10–80°), by intensity:
2θ (°), d [Å], I_rel
35.69, 2.515, 100.0
14.82, 5.976, 60.7
34.53, 2.597, 56.6
22.53, 3.946, 52.3
16.88, 5.254, 48.3
31.22, 2.865, 40.0
34.13, 2.627, 35.3
46.92, 1.936, 25.9
62.12, 1.494, 22.7
29.90, 2.988, 20.8
65.37, 1.427, 20.7
32.28, 2.773, 20.4

=====

3.
Simulated XRD peak list
Compound: LaMg14Sn
Radiation: CuKα
Structure: DFT lattice parameters and positions (GGA-PBE)

Cell: 10.412 6.591 6.591 Å, 59.11 90.00 90.00°
Sites, in units of the cell vectors:
1 La 0.000 0.000 0.000
2 Mg 0.000 0.007 0.494
3 Mg 0.000 0.494 0.007
4 Mg 0.246 0.666 0.666
5 Mg 0.260 0.167 0.659
6 Mg 0.260 0.168 0.168
7 Mg 0.260 0.659 0.167
8 Mg 0.500 0.500 0.500
9 Mg 0.500 0.500 0.997
10 Mg 0.500 0.997 0.500
11 Mg 0.500 0.999 0.999
12 Mg 0.740 0.167 0.659
13 Mg 0.740 0.168 0.168
14 Mg 0.740 0.659 0.167
15 Mg 0.754 0.666 0.666
16 Sn 0.000 0.494 0.494

The 12 most intense peaks (2θ = 10–80°), by intensity:
2θ (°), d [Å], I_rel
36.14, 2.485, 100.0
35.76, 2.511, 51.1
17.66, 5.022, 40.6
34.45, 2.603, 36.2
31.64, 2.828, 30.7
15.46, 5.733, 26.6
23.08, 3.854, 23.3
17.03, 5.206, 22.8
47.47, 1.915, 19.6
67.25, 1.392, 19.6
32.43, 2.761, 19.5
32.82, 2.729, 19.4